No. 1
Computed powder diffractogram
Compound: HoPd3O4
Radiation: Cu Kα, 1.54184 Å
Structure: DFT lattice parameters and positions (PBE)
Peak positions follow from Bragg's law for the DFT cell and can differ from measured ones.

The 6 most intense peaks (15° ≤ 2θ ≤ 90°), in order of rising 2θ:
two_theta	I/Imax
30.47	243
34.17	829
37.54	1000
56.55	190
58.89	537
63.40	210

Structural model:
abc: 5.8682 5.8682 5.8682
angles: 90.00 90.00 90.00
Atoms (fractional coordinates):
1 Ho 0.0000 0.0000 0.0000
2 Ho 0.5000 0.5000 0.5000
3 Pd 0.0000 0.2500 0.5000
4 Pd 0.0000 0.7500 0.5000
5 Pd 0.2500 0.5000 0.0000
6 Pd 0.5000 0.0000 0.2500
7 Pd 0.5000 0.0000 0.7500
8 Pd 0.7500 0.5000 0.0000
9 O 0.2500 0.2500 0.2500
10 O 0.2500 0.2500 0.7500
11 O 0.2500 0.7500 0.2500
12 O 0.2500 0.7500 0.7500
13 O 0.7500 0.2500 0.2500
14 O 0.7500 0.2500 0.7500
15 O 0.7500 0.7500 0.2500
16 O 0.7500 0.7500 0.7500

***

No. 2
Computed powder diffractogram
Compound: HoPdO3
Radiation: Cu Kα, 1.54184 Å
Structure: DFT lattice parameters and positions (PBE)
Peak positions follow from Bragg's law for the DFT cell and can differ from measured ones.

The 6 most intense peaks (15° ≤ 2θ ≤ 90°), in order of rising 2θ:
two_theta	I/Imax
24.82	212
30.79	1000
32.51	348
32.92	352
33.15	723
46.05	196

Structural model:
abc: 5.8075 5.8075 9.1737
angles: 107.95 107.95 60.03
Atoms (fractional coordinates):
1 Ho 0.0100 0.6922 0.8653
2 Ho 0.3078 0.9900 0.6347
3 Ho 0.6922 0.0100 0.3653
4 Ho 0.9900 0.3078 0.1347
5 Pd 0.0000 0.5000 0.5000
6 Pd 0.3012 0.6988 0.2500
7 Pd 0.5000 0.0000 0.0000
8 Pd 0.6988 0.3012 0.7500
9 O 0.0921 0.2419 0.8642
10 O 0.1552 0.7155 0.4466
11 O 0.2419 0.0921 0.3642
12 O 0.2845 0.8448 0.0534
13 O 0.2874 0.4081 0.6929
14 O 0.4081 0.2874 0.1929
15 O 0.5919 0.7126 0.8071
16 O 0.7126 0.5919 0.3071
17 O 0.7155 0.1552 0.9466
18 O 0.7581 0.9079 0.6358
19 O 0.8448 0.2845 0.5534
20 O 0.9079 0.7581 0.1358

***

No. 3
Computed powder diffractogram
Compound: Pr2HoPdO5
Radiation: Cu Kα, 1.54184 Å
Structure: DFT lattice parameters and positions (PBE)
Peak positions follow from Bragg's law for the DFT cell and can differ from measured ones.

The 6 most intense peaks (15° ≤ 2θ ≤ 90°), in order of rising 2θ:
two_theta	I/Imax
30.12	674
30.87	1000
33.76	538
38.35	258
43.10	553
53.98	225

Structural model:
abc: 6.6391 6.6391 5.9319
angles: 90.00 90.00 90.00
Atoms (fractional coordinates):
1 Pr 0.1624 0.3376 0.0000
2 Pr 0.3376 0.8376 0.0000
3 Pr 0.6624 0.1624 0.0000
4 Pr 0.8376 0.6624 0.0000
5 Ho 0.0000 0.0000 0.5000
6 Ho 0.5000 0.5000 0.5000
7 Pd 0.0000 0.5000 0.5000
8 Pd 0.5000 0.0000 0.5000
9 O 0.0000 0.0000 0.0000
10 O 0.1699 0.6699 0.2671
11 O 0.1699 0.6699 0.7329
12 O 0.3301 0.1699 0.2671
13 O 0.3301 0.1699 0.7329
14 O 0.5000 0.5000 0.0000
15 O 0.6699 0.8301 0.2671
16 O 0.6699 0.8301 0.7329
17 O 0.8301 0.3301 0.2671
18 O 0.8301 0.3301 0.7329